[1]
The following is a simulated powder XRD pattern of Li4MnCo3P4O16. It was derived from DFT lattice parameters and positions (GGA+U), using Cu Kα, 1.54184 Å.
Intensities are scaled so that the largest is 100.

Structural model:
```
28
Lattice="4.7599 0.0000 0.0000 0.0000 6.0153 0.0000 -0.0073 0.0000 10.3518" Properties=species:S:1:pos:R:3 pbc="T T T"
Li 0.0000 1.4970 0.0000
Li 0.0000 4.5183 0.0000
Li 2.3727 1.5017 5.1540
Li 2.3727 4.5136 5.1540
Mn 2.4987 3.0077 8.0676
Co 0.1025 0.0000 7.4328
Co 2.2540 0.0000 2.2798
Co 4.6477 3.0077 2.8891
P 0.3948 3.0077 6.1106
P 1.9662 3.0077 0.9861
P 2.7985 0.0000 9.3837
P 4.3376 0.0000 4.1921
O 0.9841 3.0077 4.6709
O 1.0322 1.7684 6.8443
O 1.0322 4.2469 6.8443
O 1.1145 0.0000 4.1501
O 1.2632 0.0000 9.3210
O 1.3162 1.7729 1.7179
O 1.3162 4.2424 1.7179
O 1.3707 3.0077 9.9036
O 3.3592 0.0000 0.4863
O 3.4714 1.2164 8.6563
O 3.4714 4.7989 8.6563
O 3.5050 3.0077 1.0143
O 3.6214 3.0077 6.1425
O 3.6818 1.2331 3.4588
O 3.6818 4.7822 3.4588
O 3.7654 0.0000 5.6367
```

Main lines, sorted by position (2θ = 10–80°):
hkl  Position (°2θ)  Rel. int.
0 0 2  17.1  33.4
1 0 1  20.5  53.7
1 1 1  25.4  94.0
0 2 0  29.7  62.4
1 0 3  32.0  24.5
1 1 -3  35.4  100.0
1 2 1  36.4  28.2
0 1 4  37.8  20.3
2 2 -2  52.1  36.1
1 3 -3  56.5  23.6

---

[2]
The following is a simulated powder XRD pattern of Na3Ni2P2C2O14. It was derived from DFT lattice parameters and positions (GGA+U), using Cu Kα, 1.54184 Å.
Intensities are scaled so that the largest is 100.

Structural model:
```
46
Lattice="5.1649 0.0000 0.0000 -0.2441 8.8448 0.0000 -0.0190 -0.2066 13.0314" Properties=species:S:1:pos:R:3 pbc="T T T"
Na 1.1900 2.0479 6.2969
Na 1.1865 1.9980 13.0118
Na 1.1989 2.0390 9.8627
Na 3.7030 6.5992 3.1687
Na 3.7154 6.6402 0.0196
Na 3.7119 6.5903 6.7345
Ni 0.9004 7.2708 11.3453
Ni 0.9153 7.3962 4.8864
Ni 3.9866 1.2420 8.1450
Ni 4.0015 1.3674 1.6861
P 1.2121 8.1679 1.6343
P 1.2231 8.0431 8.1445
P 3.6788 0.5951 4.8869
P 3.6898 0.4703 11.3971
C 1.3208 4.8734 11.4023
C 1.3289 4.9815 4.8663
C 3.5730 3.6567 8.1651
C 3.5811 3.7648 1.6291
O 0.1363 5.4965 4.8530
O 0.1330 5.3856 11.3991
O 0.6652 0.6408 1.6096
O 0.6858 0.5398 8.1342
O 0.8699 7.1516 6.9235
O 0.8729 7.2625 2.8471
O 0.8869 7.1388 9.3407
O 0.9028 7.2677 0.4053
O 1.5504 3.6363 11.4413
O 1.5613 3.7534 4.8659
O 2.1645 0.2312 4.9416
O 2.1541 0.1396 11.3944
O 2.2588 5.7728 11.3601
O 2.2839 5.8796 4.8855
O 2.6180 2.7586 8.1459
O 2.6431 2.8654 1.6713
O 2.7478 8.4986 1.6370
O 2.7374 8.4070 8.0898
O 3.3406 4.8848 8.1655
O 3.3515 5.0019 1.5901
O 3.9991 1.3705 12.6261
O 4.0150 1.4994 3.6907
O 4.0290 1.3757 10.1843
O 4.0320 1.4866 6.1079
O 4.2161 8.0985 4.8972
O 4.2367 7.9974 11.4218
O 4.7689 3.2526 1.6323
O 4.7656 3.1417 8.1784
```

Main lines, sorted by position (2θ = 10–80°):
hkl  Position (°2θ)  Rel. int.
0 1 0  10.0  100.0
0 1 -2  16.8  20.5
0 1 2  17.0  19.6
1 1 0  20.1  24.1
1 0 2  22.0  21.7
1 -2 0  26.2  28.3
0 0 4  27.4  38.5
-1 1 4  34.1  14.8
1 1 4  34.4  13.6
2 0 0  34.8  21.2